(1)
The following is a simulated PXRD pattern of Y3TlRh2. It was derived from a GGA-PBE-relaxed structure, using Cu Kα.

Largest 10 diffraction maxima, sorted by position, 2θ = 5–70°:
h k l, 2θ/deg, I (rel.)
0 0 3, 22.37, 6
1 0 1, 27.27, 7
1 0 2, 30.26, 14
1 0 3, 34.72, 100
1 1 0, 37.40, 49
0 0 6, 45.65, 7
2 0 0, 53.92, 17
1 1 5, 54.17, 6
1 1 6, 60.43, 11
2 1 3, 65.74, 31

Structural model:
```
data_Y3TlRh2
_space_group_name_H-M_alt 'P 4/m m m'
_space_group_IT_number 123
_space_group_name_Hall '-P 4 2'
_cell_length_a 3.401
_cell_length_b 3.401
_cell_length_c 11.923
_cell_angle_alpha 90.00
_cell_angle_beta 90.00
_cell_angle_gamma 90.00
loop_
_atom_site_label
_atom_site_type_symbol
_atom_site_fract_x
_atom_site_fract_y
_atom_site_fract_z
Y1 Y 0.000 0.000 0.000
Y2 Y 0.000 0.000 0.293
Tl1 Tl 0.500 0.500 0.500
Rh1 Rh 0.500 0.500 0.150
```

=====

(2)
The following is a simulated PXRD pattern of Sc6C2I11. It was derived from a GGA-PBE-relaxed structure, using Cu Kα.

Largest 10 diffraction maxima, sorted by position, 2θ = 5–70°:
h k l, 2θ/deg, I (rel.)
1 -3 0, 24.89, 47
2 1 -2, 25.22, 48
-1 1 4, 25.85, 100
0 2 -4, 28.45, 60
1 2 2, 29.53, 64
-3 2 2, 30.41, 58
1 0 6, 42.49, 21
-2 4 4, 42.71, 24
4 0 0, 43.10, 22
-2 2 8, 53.15, 18

Structural model:
```
data_Sc6C2I11
_space_group_name_H-M_alt 'P -1'
_space_group_IT_number 2
_cell_length_a 9.296
_cell_length_b 10.758
_cell_length_c 14.865
_cell_angle_alpha 93.30
_cell_angle_beta 104.48
_cell_angle_gamma 109.55
loop_
_space_group_symop_operation_xyz
'x,y,z'
'-x,-y,-z'
loop_
_atom_site_label
_atom_site_type_symbol
_atom_site_fract_x
_atom_site_fract_y
_atom_site_fract_z
Sc1 Sc 0.062 0.223 0.236
Sc2 Sc 0.107 0.516 0.381
Sc3 Sc 0.130 0.596 0.849
Sc4 Sc 0.131 0.830 0.615
Sc5 Sc 0.328 0.656 0.703
Sc6 Sc 0.358 0.942 0.848
C1 C 0.071 0.655 0.700
C2 C 0.189 0.770 0.761
I1 I 0.101 0.355 0.075
I2 I 0.105 0.674 0.235
I3 I 0.118 0.073 0.391
I4 I 0.119 0.029 0.890
I5 I 0.129 0.385 0.559
I6 I 0.351 0.768 0.527
I7 I 0.365 0.443 0.351
I8 I 0.368 0.092 0.691
I9 I 0.369 0.488 0.841
I10 I 0.379 0.131 0.193
I11 I 0.383 0.802 0.015
```